Starting from a DFT-relaxed cell (PBE+U, Alexandria), the powder diffractogram of LiTi3VP6O24 was calculated for CuKα.

Peak list (10 most intense, 2θ = 5–70°, low angle first)
two_theta  I/Imax  h k l
14.5  27  0 1 2
20.6  64  1 0 4
24.2  100  2 -1 3
29.3  34  0 2 4
32.0  17  3 -1 1
32.8  22  1 1 6
36.1  20  3 0 0
47.0  14  3 -2 8
49.6  12  4 -2 6
56.5  17  4 1 0

Crystal structure
Cell: 8.6129 8.6129 21.2245 Å, 90.00 90.00 120.00°
Space group R3 (No. 146, hexagonal axes)
Asymmetric unit:
Li1 0.0000 0.0000 0.0000 (multiplicity 3)
Ti1 0.0000 0.0000 0.3665 (multiplicity 3)
Ti2 0.0000 0.0000 0.6376 (multiplicity 3)
Ti3 0.0000 0.0000 0.8586 (multiplicity 3)
V1 0.0000 0.0000 0.1451 (multiplicity 3)
P1 0.0083 0.7182 0.7502 (multiplicity 9)
P2 0.0500 0.3794 0.9205 (multiplicity 9)
O1 0.0001 0.1808 0.1928 (multiplicity 9)
O2 0.0034 0.8156 0.8104 (multiplicity 9)
O3 0.0191 0.1870 0.9188 (multiplicity 9)
O4 0.0318 0.8305 0.4156 (multiplicity 9)
O5 0.0342 0.8317 0.6916 (multiplicity 9)
O6 0.1626 0.4722 0.9783 (multiplicity 9)
O7 0.1708 0.6844 0.7529 (multiplicity 9)
O8 0.1716 0.4639 0.2530 (multiplicity 9)